Ac2Pt5Au5: theoretical X-ray diffraction stick pattern (Cu Kα, 1.54184 Å), based on the GGA-PBE geometry in Alexandria.
Peak positions follow from Bragg's law for the DFT cell and can differ from measured ones.

Peak list (10 most intense, 10 to 90 degrees two-theta, by angle)
2θ/deg  d [Å]  I_rel
26.85  3.321  16.9
31.74  2.819  21.4
36.82  2.441  29.0
37.58  2.393  100.0
39.80  2.265  31.1
42.04  2.149  34.6
55.33  1.660  18.4
60.44  1.532  25.5
66.31  1.410  21.1
80.21  1.197  25.2

Crystal structure
```
12
Lattice="4.5299 0.0000 0.0000 0.0000 5.6422 0.0000 0.0000 0.0000 9.7589" Properties=species:S:1:pos:R:3 pbc="T T T"
Ac 0.0000 0.0000 0.0000
Ac 0.0000 2.8211 4.8794
Pt 2.2650 0.0000 4.8794
Pt 2.2650 1.4046 2.4620
Pt 2.2650 1.4046 7.2969
Pt 2.2650 4.2376 2.4620
Pt 2.2650 4.2376 7.2969
Au 0.0000 0.0000 3.2403
Au 0.0000 0.0000 6.5186
Au 0.0000 2.8211 1.6811
Au 0.0000 2.8211 8.0778
Au 2.2650 2.8211 0.0000
```

***

Tm3Ga3Cu2: theoretical X-ray diffraction stick pattern (Cu Kα, 1.54184 Å), based on the GGA-PBE geometry in Alexandria.
Peak positions follow from Bragg's law for the DFT cell and can differ from measured ones.

Peak list (10 most intense, 10 to 90 degrees two-theta, by angle)
2θ/deg  d [Å]  I_rel
23.36  3.808  15.0
25.53  3.489  16.4
33.83  2.649  100.0
34.15  2.625  55.3
35.01  2.563  26.3
35.95  2.498  26.7
37.78  2.381  20.9
38.65  2.329  36.1
42.23  2.140  73.6
55.98  1.643  23.9

Crystal structure
```
16
Lattice="2.1406 -5.1263 0.0000 2.1406 5.1263 0.0000 0.0000 0.0000 14.2858" Properties=species:S:1:pos:R:3 pbc="T T T"
Tm 2.1406 4.1741 8.6870
Tm 2.1406 4.1741 12.7417
Tm 2.1406 1.3519 10.7143
Tm 2.1406 -1.3519 3.5714
Tm 2.1406 -4.1741 1.5441
Tm 2.1406 -4.1741 5.5988
Ga 2.1406 1.6340 3.5714
Ga 2.1406 1.1943 7.6997
Ga 2.1406 1.1943 13.7290
Ga 2.1406 -1.1943 0.5568
Ga 2.1406 -1.1943 6.5861
Ga 2.1406 -1.6340 10.7143
Cu 2.1406 3.0585 1.4434
Cu 2.1406 3.0585 5.6995
Cu 2.1406 -3.0585 8.5863
Cu 2.1406 -3.0585 12.8424
```

***

LaNpPaN3: theoretical X-ray diffraction stick pattern (Cu Kα, 1.54184 Å), based on the GGA-PBE geometry in Alexandria.
Peak positions follow from Bragg's law for the DFT cell and can differ from measured ones.

Peak list (10 most intense, 10 to 90 degrees two-theta, by angle)
2θ/deg  d [Å]  I_rel
16.07  5.515  20.6
29.52  3.026  41.4
29.86  2.992  58.6
32.01  2.796  100.0
32.24  2.776  20.3
33.86  2.647  86.1
36.16  2.484  19.2
39.41  2.286  19.8
53.12  1.724  28.8
60.71  1.526  27.0

Crystal structure
```
12
Lattice="6.1063 0.0000 0.0000 0.0000 3.5333 0.0000 -1.8396 0.0000 8.9776" Properties=species:S:1:pos:R:3 pbc="T T T"
La 0.5856 0.8833 1.7368
La 3.6811 2.6500 7.2408
Np 0.6121 0.8833 7.6680
Np 3.6546 2.6500 1.3096
Pa 0.6010 2.6500 4.9484
Pa 3.6658 0.8833 4.0292
N -0.9215 0.8833 5.7671
N -0.1647 2.6500 8.9436
N 2.1510 2.6500 3.2251
N 2.1157 0.8833 5.7525
N 4.4314 0.8833 0.0339
N 5.1882 2.6500 3.2105
```

***

KRb2Pb: theoretical X-ray diffraction stick pattern (Cu Kα, 1.54184 Å), based on the GGA-PBE geometry in Alexandria.
Peak positions follow from Bragg's law for the DFT cell and can differ from measured ones.

Peak list (10 most intense, 10 to 90 degrees two-theta, by angle)
2θ/deg  d [Å]  I_rel
12.38  7.149  90.5
12.53  7.065  83.0
15.23  5.816  43.4
23.46  3.792  53.0
23.59  3.771  47.7
27.90  3.197  45.3
29.41  3.037  100.0
29.99  2.980  48.9
31.33  2.856  43.2
34.05  2.633  41.7

Crystal structure
```
8
Lattice="7.4061 0.0000 0.0000 1.9776 7.3052 0.0000 0.6073 2.3526 8.9391" Properties=species:S:1:pos:R:3 pbc="T T T"
K 0.0000 0.0000 0.0000
K 3.8033 3.1230 0.7832
Rb 3.5895 7.0795 3.8798
Rb 4.0739 2.9804 5.9345
Rb 7.5893 6.4797 6.8132
Rb 7.3508 3.9565 2.9198
Pb 5.7247 6.6283 0.6107
Pb 7.2248 7.8573 3.0809
```

***

RhAuF5: theoretical X-ray diffraction stick pattern (Cu Kα, 1.54184 Å), based on the GGA-PBE geometry in Alexandria.
Peak positions follow from Bragg's law for the DFT cell and can differ from measured ones.

Peak list (10 most intense, 10 to 90 degrees two-theta, by angle)
2θ/deg  d [Å]  I_rel
18.82  4.714  96.0
22.09  4.023  100.0
22.72  3.915  49.0
26.90  3.314  94.8
28.59  3.122  73.8
31.31  2.857  61.7
32.47  2.757  36.3
34.03  2.634  30.1
38.69  2.327  33.5
45.07  2.012  40.9

Crystal structure
```
14
Lattice="5.7867 0.0000 0.0000 -2.2337 5.3451 0.0000 -0.9673 -1.4418 7.3092" Properties=species:S:1:pos:R:3 pbc="T T T"
Rh 0.0000 0.0000 0.0000
Rh -0.4836 -0.7209 3.6546
Au 0.3995 3.0568 1.8319
Au 2.1862 0.8465 5.4773
F -2.3503 3.8721 5.4852
F -0.9024 3.9033 0.3178
F -0.8734 3.9511 3.3360
F 0.3700 0.9970 4.2189
F 1.2498 1.4504 0.5795
F 1.3360 2.4529 6.7297
F 2.2158 2.9064 3.0903
F 3.4592 -0.0477 3.9732
F 3.4881 0.0000 6.9914
F 4.9361 0.0312 1.8240
```

***

PuBP2: theoretical X-ray diffraction stick pattern (Cu Kα, 1.54184 Å), based on the GGA-PBE geometry in Alexandria.
Peak positions follow from Bragg's law for the DFT cell and can differ from measured ones.

Peak list (10 most intense, 10 to 90 degrees two-theta, by angle)
2θ/deg  d [Å]  I_rel
16.06  5.519  86.0
27.69  3.222  89.5
36.15  2.485  100.0
37.77  2.382  43.1
41.28  2.187  41.5
49.36  1.846  28.2
54.48  1.684  16.6
62.19  1.493  20.4
63.94  1.456  18.8
67.14  1.394  33.5

Crystal structure
```
4
Lattice="-1.6843 1.6843 5.5189 1.6843 -1.6843 5.5189 1.6843 1.6843 -5.5189" Properties=species:S:1:pos:R:3 pbc="T T T"
Pu 0.0000 0.0000 0.0000
B 1.6843 0.0000 2.7595
P 0.0000 0.0000 3.8849
P 0.0000 0.0000 7.1529
```

***

Please write out number 1 again, unchanged.
Ac2Pt5Au5: theoretical X-ray diffraction stick pattern (Cu Kα, 1.54184 Å), based on the GGA-PBE geometry in Alexandria.
Peak positions follow from Bragg's law for the DFT cell and can differ from measured ones.

Peak list (10 most intense, 10 to 90 degrees two-theta, by angle)
2θ/deg  d [Å]  I_rel
26.85  3.321  16.9
31.74  2.819  21.4
36.82  2.441  29.0
37.58  2.393  100.0
39.80  2.265  31.1
42.04  2.149  34.6
55.33  1.660  18.4
60.44  1.532  25.5
66.31  1.410  21.1
80.21  1.197  25.2

Crystal structure
```
12
Lattice="4.5299 0.0000 0.0000 0.0000 5.6422 0.0000 0.0000 0.0000 9.7589" Properties=species:S:1:pos:R:3 pbc="T T T"
Ac 0.0000 0.0000 0.0000
Ac 0.0000 2.8211 4.8794
Pt 2.2650 0.0000 4.8794
Pt 2.2650 1.4046 2.4620
Pt 2.2650 1.4046 7.2969
Pt 2.2650 4.2376 2.4620
Pt 2.2650 4.2376 7.2969
Au 0.0000 0.0000 3.2403
Au 0.0000 0.0000 6.5186
Au 0.0000 2.8211 1.6811
Au 0.0000 2.8211 8.0778
Au 2.2650 2.8211 0.0000
```

***

Repeat the second record exactly.
Tm3Ga3Cu2: theoretical X-ray diffraction stick pattern (Cu Kα, 1.54184 Å), based on the GGA-PBE geometry in Alexandria.
Peak positions follow from Bragg's law for the DFT cell and can differ from measured ones.

Peak list (10 most intense, 10 to 90 degrees two-theta, by angle)
2θ/deg  d [Å]  I_rel
23.36  3.808  15.0
25.53  3.489  16.4
33.83  2.649  100.0
34.15  2.625  55.3
35.01  2.563  26.3
35.95  2.498  26.7
37.78  2.381  20.9
38.65  2.329  36.1
42.23  2.140  73.6
55.98  1.643  23.9

Crystal structure
```
16
Lattice="2.1406 -5.1263 0.0000 2.1406 5.1263 0.0000 0.0000 0.0000 14.2858" Properties=species:S:1:pos:R:3 pbc="T T T"
Tm 2.1406 4.1741 8.6870
Tm 2.1406 4.1741 12.7417
Tm 2.1406 1.3519 10.7143
Tm 2.1406 -1.3519 3.5714
Tm 2.1406 -4.1741 1.5441
Tm 2.1406 -4.1741 5.5988
Ga 2.1406 1.6340 3.5714
Ga 2.1406 1.1943 7.6997
Ga 2.1406 1.1943 13.7290
Ga 2.1406 -1.1943 0.5568
Ga 2.1406 -1.1943 6.5861
Ga 2.1406 -1.6340 10.7143
Cu 2.1406 3.0585 1.4434
Cu 2.1406 3.0585 5.6995
Cu 2.1406 -3.0585 8.5863
Cu 2.1406 -3.0585 12.8424
```